Simulated powder X-ray diffraction pattern
Compound: NiP4
Radiation: Cu Kα (weighted mean of Kα1 and Kα2)
Structure: the PBE geometry in the Materials Project
Lines closer than 0.1° are merged.

Peak list (12 most intense, 10° ≤ 2θ ≤ 90°, low angle first)
| 2theta | Rel. int. |
| --- | --- |
| 20.21 | 320 |
| 24.09 | 124 |
| 31.64 | 573 |
| 31.87 | 1000 |
| 38.58 | 182 |
| 43.54 | 187 |
| 49.09 | 161 |
| 51.72 | 200 |
| 51.89 | 433 |
| 54.74 | 111 |
| 58.35 | 116 |
| 61.91 | 126 |

Crystal structure
```
NiP4
1.0
2.6032 -5.3020 0.0000
2.6032 5.3020 0.0000
-0.6481 0.0000 11.3127
Ni P
4 16
direct
0.0000 0.5000 0.5000
0.0809 0.9191 0.7500
0.5000 0.0000 0.0000
0.9191 0.0809 0.2500
0.0502 0.8606 0.9523
0.0729 0.5478 0.2893
0.1394 0.9498 0.5477
0.2385 0.3748 0.7852
0.3381 0.5339 0.9767
0.3748 0.2385 0.2852
0.4522 0.9271 0.2107
0.4661 0.6619 0.5233
0.5339 0.3381 0.4767
0.5478 0.0729 0.7893
0.6252 0.7615 0.7148
0.6619 0.4661 0.0233
0.7615 0.6252 0.2148
0.8606 0.0502 0.4523
0.9271 0.4522 0.7107
0.9498 0.1394 0.0477
```

=====

Simulated powder X-ray diffraction pattern
Compound: NiP2
Radiation: Cu Kα (weighted mean of Kα1 and Kα2)
Structure: the PBE geometry in the Materials Project
Lines closer than 0.1° are merged.

Peak list (12 most intense, 10° ≤ 2θ ≤ 90°, low angle first)
| 2theta | Rel. int. |
| --- | --- |
| 28.35 | 528 |
| 32.85 | 904 |
| 36.86 | 407 |
| 40.52 | 338 |
| 47.14 | 526 |
| 55.93 | 1000 |
| 58.65 | 170 |
| 61.29 | 125 |
| 63.88 | 172 |
| 76.09 | 127 |
| 78.44 | 162 |
| 87.68 | 148 |

Crystal structure
```
NiP2
1.0
5.4528 0.0000 0.0000
0.0000 5.4528 0.0000
0.0000 0.0000 5.4528
Ni P
4 8
direct
0.0000 0.0000 0.0000
0.0000 0.5000 0.5000
0.5000 0.0000 0.5000
0.5000 0.5000 0.0000
0.1161 0.6161 0.8839
0.1161 0.8839 0.3839
0.3839 0.1161 0.8839
0.3839 0.3839 0.3839
0.6161 0.6161 0.6161
0.6161 0.8839 0.1161
0.8839 0.1161 0.6161
0.8839 0.3839 0.1161
```

=====

Simulated powder X-ray diffraction pattern
Compound: NiP
Radiation: Cu Kα (weighted mean of Kα1 and Kα2)
Structure: the PBE geometry in the Materials Project
Lines closer than 0.1° are merged.

Peak list (12 most intense, 10° ≤ 2θ ≤ 90°, low angle first)
| 2theta | Rel. int. |
| --- | --- |
| 25.76 | 145 |
| 29.79 | 764 |
| 35.13 | 231 |
| 36.86 | 207 |
| 37.42 | 356 |
| 48.06 | 1000 |
| 50.91 | 377 |
| 52.70 | 195 |
| 52.96 | 211 |
| 53.46 | 284 |
| 60.49 | 124 |
| 86.07 | 135 |

Crystal structure
```
NiP
1.0
4.8765 0.0000 0.0000
0.0000 6.9163 0.0000
0.0000 0.0000 6.0261
Ni P
8 8
direct
0.0151 0.1002 0.1926
0.0151 0.3998 0.6926
0.4849 0.6002 0.1926
0.4849 0.8998 0.6926
0.5151 0.1002 0.3074
0.5151 0.3998 0.8074
0.9849 0.6002 0.3074
0.9849 0.8998 0.8074
0.1734 0.1146 0.5567
0.1734 0.3854 0.0567
0.3266 0.6146 0.5567
0.3266 0.8854 0.0567
0.6734 0.1146 0.9433
0.6734 0.3854 0.4433
0.8266 0.6146 0.9433
0.8266 0.8854 0.4433
```

=====

Simulated powder X-ray diffraction pattern
Compound: NiP
Radiation: Cu Kα (weighted mean of Kα1 and Kα2)
Structure: the PBE geometry in the Materials Project
Lines closer than 0.1° are merged.

Peak list (12 most intense, 10° ≤ 2θ ≤ 90°, low angle first)
| 2theta | Rel. int. |
| --- | --- |
| 30.24 | 829 |
| 35.38 | 340 |
| 36.42 | 187 |
| 38.83 | 232 |
| 48.02 | 1000 |
| 50.92 | 288 |
| 52.03 | 261 |
| 53.61 | 199 |
| 53.80 | 198 |
| 59.31 | 100 |
| 74.93 | 113 |
| 85.24 | 108 |

Crystal structure
```
NiP
1.0
4.9342 0.0000 0.0000
0.0000 17.0405 0.0000
0.0000 0.0000 5.9278
Ni P
20 20
direct
0.0016 0.2500 0.1985
0.0172 0.0407 0.3080
0.0172 0.4593 0.3080
0.0303 0.1630 0.8060
0.0303 0.3370 0.8060
0.4697 0.6630 0.3060
0.4697 0.8370 0.3060
0.4828 0.5407 0.8080
0.4828 0.9593 0.8080
0.4984 0.7500 0.6985
0.5016 0.2500 0.3015
0.5172 0.0407 0.1920
0.5172 0.4593 0.1920
0.5303 0.1630 0.6940
0.5303 0.3370 0.6940
0.9697 0.6630 0.1940
0.9697 0.8370 0.1940
0.9828 0.5407 0.6920
0.9828 0.9593 0.6920
0.9984 0.7500 0.8015
0.1609 0.7500 0.4372
0.1712 0.0453 0.9434
0.1712 0.4547 0.9434
0.1977 0.1534 0.4372
0.1977 0.3466 0.4372
0.3023 0.6534 0.9372
0.3023 0.8466 0.9372
0.3288 0.5453 0.4434
0.3288 0.9547 0.4434
0.3391 0.2500 0.9372
0.6609 0.7500 0.0628
0.6712 0.0453 0.5566
0.6712 0.4547 0.5566
0.6977 0.1534 0.0628
0.6977 0.3466 0.0628
0.8023 0.6534 0.5628
0.8023 0.8466 0.5628
0.8288 0.5453 0.0566
0.8288 0.9547 0.0566
0.8391 0.2500 0.5628
```

=====

Simulated powder X-ray diffraction pattern
Compound: Ni2P
Radiation: Cu Kα (weighted mean of Kα1 and Kα2)
Structure: the PBE geometry in the Materials Project
Lines closer than 0.1° are merged.

Peak list (12 most intense, 10° ≤ 2θ ≤ 90°, low angle first)
| 2theta | Rel. int. |
| --- | --- |
| 30.44 | 61 |
| 40.87 | 1000 |
| 44.75 | 502 |
| 47.29 | 385 |
| 54.10 | 217 |
| 54.82 | 196 |
| 55.08 | 123 |
| 66.26 | 64 |
| 72.74 | 96 |
| 75.26 | 173 |
| 80.64 | 128 |
| 88.80 | 181 |

Crystal structure
```
Ni2P
1.0
5.8728 0.0000 0.0000
-2.9364 5.0860 0.0000
0.0000 0.0000 3.3493
Ni P
6 3
direct
0.0000 0.2597 0.0000
0.0000 0.6009 0.5000
0.2597 0.0000 0.0000
0.3991 0.3991 0.5000
0.6009 0.0000 0.5000
0.7403 0.7403 0.0000
0.0000 0.0000 0.5000
0.3333 0.6667 0.0000
0.6667 0.3333 0.0000
```

=====

Simulated powder X-ray diffraction pattern
Compound: Ni2PPd
Radiation: Cu Kα (weighted mean of Kα1 and Kα2)
Structure: the PBE geometry in the Materials Project
Lines closer than 0.1° are merged.

Peak list (12 most intense, 10° ≤ 2θ ≤ 90°, low angle first)
| 2theta | Rel. int. |
| --- | --- |
| 34.59 | 173 |
| 39.26 | 1000 |
| 41.20 | 439 |
| 43.55 | 502 |
| 44.97 | 250 |
| 46.77 | 309 |
| 51.35 | 141 |
| 52.72 | 268 |
| 71.75 | 119 |
| 73.10 | 151 |
| 76.19 | 175 |
| 86.47 | 136 |

Crystal structure
```
Ni2PPd
1.0
3.4723 0.0000 0.0000
0.0000 8.4732 0.0000
0.0000 0.0000 6.5572
Ni P Pd
8 4 4
direct
0.0000 0.1473 0.0547
0.0000 0.1473 0.4453
0.0000 0.8527 0.5547
0.0000 0.8527 0.9453
0.5000 0.3527 0.5547
0.5000 0.3527 0.9453
0.5000 0.6473 0.0547
0.5000 0.6473 0.4453
0.0000 0.2687 0.7500
0.0000 0.7313 0.2500
0.5000 0.2313 0.2500
0.5000 0.7687 0.7500
0.0000 0.4452 0.2500
0.0000 0.5548 0.7500
0.5000 0.0548 0.7500
0.5000 0.9452 0.2500
```